For Er3Tm4Pu, DFT lattice parameters and positions (PBE) gives the simulated X-ray powder pattern in this record (λ = 1.5418 Å (Cu Kα)).

Largest 10 diffraction maxima, sorted by position, 10 to 80 degrees two-theta:
| index | d [Å] | 2θ (°) | Rel. int. |
| --- | --- | --- | --- |
| 0 0 2 | 3.059 | 29.19 | 239 |
| 4 0 0 | 2.776 | 32.25 | 244 |
| 2 2 1 | 2.679 | 33.44 | 1000 |
| 4 0 2 | 2.056 | 44.05 | 158 |
| 0 4 0 | 1.769 | 51.67 | 66 |
| 0 2 3 | 1.765 | 51.80 | 130 |
| 6 2 1 | 1.583 | 58.28 | 207 |
| 4 4 0 | 1.492 | 62.23 | 76 |
| 4 2 3 | 1.489 | 62.35 | 150 |
| 2 4 2 | 1.476 | 62.98 | 107 |

Cell and atoms:
```
Er3Tm4Pu
1.0
11.1021 0.0000 0.0000
0.0000 7.0765 0.0000
0.0000 0.0000 6.1090
Er Tm Pu
6 8 2
Direct
0.0000 0.1214 0.0000
0.2495 0.1242 0.3306
0.2505 0.8758 0.8306
0.5000 0.8786 0.5000
0.7495 0.8758 0.8306
0.7505 0.1242 0.3306
0.0000 0.3761 0.4980
0.0000 0.6273 0.9985
0.2485 0.6273 0.3373
0.2515 0.3727 0.8373
0.5000 0.3727 0.4985
0.5000 0.6239 0.9980
0.7485 0.3727 0.8373
0.7515 0.6273 0.3373
0.0000 0.8748 0.4978
0.5000 0.1252 0.9978
```